For Li2Si4Ni4O13, a DFT-relaxed cell (GGA+U, Alexandria) gives the computed X-ray powder pattern in this record (Cu Kα).
Intensities are scaled so that the largest is 100.

Top 10 peaks for 2θ from 10° to 80°, most intense first:
Position (°2θ)  Rel. int.  index
32.6  100  -2 1 1
32.8  93  2 2 2
29.4  75  0 2 -1
12.7  74  0 1 1
28.9  71  0 0 3
54.1  40  4 1 1
18.0  33  0 1 -1
37.3  29  0 3 0
36.5  29  0 1 4
38.1  27  2 -1 2

Structural model:
Unit cell a=6.776 b=7.877 c=9.993 alpha=68.63 beta=80.61 gamma=77.82
Atoms (fractional coordinates):
Li1 0.219 0.001 0.124
Li2 0.272 0.438 0.564
Li3 0.728 0.562 0.436
Li4 0.781 0.999 0.876
Si1 0.069 0.343 0.293
Si2 0.270 0.652 0.283
Si3 0.273 0.071 0.828
Si4 0.382 0.648 0.709
Si5 0.618 0.352 0.291
Si6 0.727 0.929 0.172
Si7 0.730 0.348 0.717
Si8 0.931 0.657 0.707
Ni1 0.083 0.044 0.619
Ni2 0.086 0.687 0.992
Ni3 0.419 0.962 0.379
Ni4 0.427 0.310 0.013
Ni5 0.573 0.690 0.987
Ni6 0.581 0.038 0.621
Ni7 0.914 0.313 0.008
Ni8 0.917 0.956 0.381
O1 0.095 0.945 0.843
O2 0.122 0.493 0.355
O3 0.130 0.391 0.119
O4 0.134 0.128 0.395
O5 0.173 0.609 0.676
O6 0.207 0.810 0.355
O7 0.212 0.201 0.930
O8 0.285 0.187 0.652
O9 0.286 0.736 0.108
O10 0.388 0.593 0.882
O11 0.408 0.857 0.604
O12 0.478 0.517 0.350
O13 0.492 0.047 0.154
O14 0.508 0.953 0.846
O15 0.522 0.483 0.650
O16 0.592 0.143 0.396
O17 0.612 0.407 0.118
O18 0.714 0.264 0.892
O19 0.715 0.813 0.348
O20 0.788 0.799 0.070
O21 0.793 0.190 0.645
O22 0.827 0.391 0.324
O23 0.866 0.872 0.605
O24 0.870 0.609 0.881
O25 0.878 0.507 0.645
O26 0.905 0.055 0.157